The following is a calculated X-ray diffraction stick pattern of Ti6ReOs. It was derived from a DFT-relaxed cell (PBE, Alexandria), using Cu Kα (weighted mean of Kα1 and Kα2).

Largest 12 diffraction maxima, in order of falling intensity, 10 to 90 degrees two-theta:
39.66°, I = 100; 13.30°, I = 76; 41.04°, I = 46; 73.84°, I = 30; 31.75°, I = 26; 28.70°, I = 21; 43.33°, I = 18; 71.03°, I = 16; 50.52°, I = 16; 59.43°, I = 15; 26.78°, I = 13; 49.68°, I = 11

Cell and atoms:
a b c (Å): 4.3987 4.3987 13.3144
angles (deg): 90.00 90.00 90.00
Element x y z (fractional)
1 Ti 0.0000 0.0000 0.2488
2 Ti 0.0000 0.0000 0.7512
3 Ti 0.0000 0.5000 0.1132
4 Ti 0.0000 0.5000 0.3868
5 Ti 0.0000 0.5000 0.6132
6 Ti 0.0000 0.5000 0.8868
7 Ti 0.5000 0.0000 0.1132
8 Ti 0.5000 0.0000 0.3868
9 Ti 0.5000 0.0000 0.6132
10 Ti 0.5000 0.0000 0.8868
11 Ti 0.5000 0.5000 0.2512
12 Ti 0.5000 0.5000 0.7488
13 Re 0.0000 0.0000 0.0000
14 Re 0.5000 0.5000 0.5000
15 Os 0.0000 0.0000 0.5000
16 Os 0.5000 0.5000 0.0000


The following is a calculated X-ray diffraction stick pattern of U6Re2Os. It was derived from a DFT-relaxed cell (PBE, Alexandria), using Cu Kα (weighted mean of Kα1 and Kα2).

Largest 12 diffraction maxima, in order of falling intensity, 10 to 90 degrees two-theta:
37.87°, I = 100; 38.64°, I = 96; 36.97°, I = 59; 39.21°, I = 51; 54.98°, I = 38; 66.69°, I = 19; 68.24°, I = 19; 70.18°, I = 17; 70.68°, I = 17; 70.01°, I = 13; 55.46°, I = 13; 82.86°, I = 9

Cell and atoms:
a b c (Å): 5.4777 5.4777 7.4385
angles (deg): 100.21 100.21 49.60
Element x y z (fractional)
1 U 0.0750 0.0750 0.3376
2 U 0.1666 0.1666 0.9934
3 U 0.2625 0.2625 0.6648
4 U 0.7375 0.7375 0.3352
5 U 0.8334 0.8334 0.0066
6 U 0.9250 0.9250 0.6624
7 Re 0.4145 0.4145 0.3331
8 Re 0.5855 0.5855 0.6669
9 Os 0.5000 0.5000 0.0000


The following is a calculated X-ray diffraction stick pattern of ReOsW2. It was derived from a DFT-relaxed cell (PBE, Alexandria), using Cu Kα (weighted mean of Kα1 and Kα2).

Largest 12 diffraction maxima, in order of falling intensity, 10 to 90 degrees two-theta:
39.44°, I = 100; 46.05°, I = 65; 39.25°, I = 51; 39.69°, I = 49; 45.53°, I = 33; 67.09°, I = 32; 66.46°, I = 22; 80.51°, I = 19; 80.02°, I = 13; 80.62°, I = 13; 80.90°, I = 13; 81.10°, I = 13

Cell and atoms:
a b c (Å): 9.2175 2.7887 4.8879
angles (deg): 90.00 99.79 90.00
Element x y z (fractional)
1 Re 0.0000 0.0000 0.0000
2 Re 0.5000 0.5000 0.0000
3 Os 0.0000 0.5000 0.5000
4 Os 0.5000 0.0000 0.5000
5 W 0.2463 0.0000 0.7471
6 W 0.2537 0.5000 0.2529
7 W 0.7463 0.5000 0.7471
8 W 0.7537 0.0000 0.2529


The following is a calculated X-ray diffraction stick pattern of YRe2Os. It was derived from a DFT-relaxed cell (PBE, Alexandria), using Cu Kα (weighted mean of Kα1 and Kα2).

Largest 12 diffraction maxima, in order of falling intensity, 10 to 90 degrees two-theta:
38.15°, I = 100; 46.41°, I = 30; 80.48°, I = 24; 62.86°, I = 23; 39.94°, I = 22; 71.35°, I = 16; 81.62°, I = 11; 67.73°, I = 10; 30.23°, I = 4; 22.72°, I = 4; 86.16°, I = 3; 19.66°, I = 2

Cell and atoms:
a b c (Å): 3.9132 3.9132 4.5145
angles (deg): 90.00 90.00 90.00
Element x y z (fractional)
1 Y 0.0000 0.0000 0.0000
2 Re 0.0000 0.5000 0.5000
3 Re 0.5000 0.0000 0.5000
4 Os 0.5000 0.5000 0.0000


The following is a calculated X-ray diffraction stick pattern of Y2ReOs. It was derived from a DFT-relaxed cell (PBE, Alexandria), using Cu Kα (weighted mean of Kα1 and Kα2).

Largest 12 diffraction maxima, in order of falling intensity, 10 to 90 degrees two-theta:
39.55°, I = 100; 30.64°, I = 95; 21.61°, I = 80; 17.19°, I = 66; 32.82°, I = 60; 41.23°, I = 58; 40.23°, I = 46; 58.96°, I = 41; 43.71°, I = 36; 60.91°, I = 27; 55.72°, I = 26; 73.00°, I = 20

Cell and atoms:
a b c (Å): 4.4832 4.1415 5.6233
angles (deg): 90.00 113.42 90.00
Element x y z (fractional)
1 Y 0.0000 0.0000 0.0000
2 Y 0.2908 0.5000 0.5817
3 Re 0.5885 0.5000 0.1773
4 Os 0.7042 0.0000 0.4081


The following is a calculated X-ray diffraction stick pattern of ZrRe5Os. It was derived from a DFT-relaxed cell (PBE, Alexandria), using Cu Kα (weighted mean of Kα1 and Kα2).

Largest 12 diffraction maxima, in order of falling intensity, 10 to 90 degrees two-theta:
37.26°, I = 100; 43.55°, I = 57; 41.91°, I = 51; 44.68°, I = 44; 35.13°, I = 41; 43.66°, I = 36; 44.51°, I = 27; 46.73°, I = 26; 21.83°, I = 24; 68.57°, I = 22; 45.86°, I = 22; 79.41°, I = 19

Cell and atoms:
a b c (Å): 8.4762 5.1499 10.7161
angles (deg): 90.00 90.00 90.00
Element x y z (fractional)
1 Zr 0.2307 0.2500 0.0553
2 Zr 0.2693 0.7500 0.5553
3 Zr 0.7307 0.2500 0.4447
4 Zr 0.7693 0.7500 0.9447
5 Re 0.0728 0.0100 0.3052
6 Re 0.0728 0.4900 0.3052
7 Re 0.0749 0.7500 0.0748
8 Re 0.0821 0.2500 0.5241
9 Re 0.1825 0.2500 0.7567
10 Re 0.3175 0.7500 0.2567
11 Re 0.4179 0.7500 0.0241
12 Re 0.4251 0.2500 0.5748
13 Re 0.4272 0.5100 0.8052
14 Re 0.4272 0.9900 0.8052
15 Re 0.5728 0.0100 0.1948
16 Re 0.5728 0.4900 0.1948
17 Re 0.5749 0.7500 0.4252
18 Re 0.5821 0.2500 0.9759
19 Re 0.6825 0.2500 0.7433
20 Re 0.8175 0.7500 0.2433
21 Re 0.9179 0.7500 0.4759
22 Re 0.9251 0.2500 0.9252
23 Re 0.9272 0.5100 0.6948
24 Re 0.9272 0.9900 0.6948
25 Os 0.1385 0.7500 0.8456
26 Os 0.3615 0.2500 0.3456
27 Os 0.6385 0.7500 0.6544
28 Os 0.8615 0.2500 0.1544